Entry 1:
LaBiBr6: theoretical PXRD pattern (copper Kα), based on a structure optimized by DFT (GGA-PBE).
Kinematic intensities with the Lorentz-polarization factor, no thermal factor.

Atomic structure:
Unit cell a=7.2529 b=13.2116 c=7.2423 alpha=90.00 beta=106.54 gamma=90.00
Space group C2/m (No. 12)
Asymmetric unit:
La: 0.0000 0.0000 0.0000 (multiplicity 2)
Bi: 0.0000 0.5000 0.5000 (multiplicity 2)
Br: 0.2424 0.3503 0.7454 (multiplicity 8)
Br: 0.2501 0.0000 0.7464 (multiplicity 4)

Largest 6 diffraction maxima, sorted by position, 2θ from 5° to 70°:
2θ (°), I_rel, index
13.40, 74, 0 2 0
16.67, 76, 1 1 -1
21.58, 30, 1 1 1
28.90, 100, 1 3 1
30.79, 44, 2 0 -2
42.73, 69, 1 3 -3

---

Entry 2:
La4BiSb2Br: theoretical PXRD pattern (copper Kα), based on a structure optimized by DFT (GGA-PBE).
Kinematic intensities with the Lorentz-polarization factor, no thermal factor.

Atomic structure:
Unit cell a=9.1851 b=12.9879 c=9.1840 alpha=90.00 beta=90.00 gamma=90.00
Space group Fmm2 (No. 42)
Asymmetric unit:
La: 0.0000 0.2482 0.0000 (multiplicity 8)
La: 0.2503 0.0000 0.2489 (multiplicity 8)
Bi: 0.0000 0.0000 0.9992 (multiplicity 4)
Sb: 0.2500 0.2500 0.2498 (multiplicity 8)
Br: 0.0000 0.0000 0.4986 (multiplicity 4)

Largest 6 diffraction maxima, sorted by position, 2θ from 5° to 70°:
2θ (°), I_rel, index
15.25, 7, 1 1 1
27.47, 100, 2 0 2
39.24, 77, 4 0 0
48.56, 28, 4 4 0
56.70, 13, 4 0 4
64.13, 36, 6 0 2

---

Please write out number 2 again, unchanged.
La4BiSb2Br: theoretical PXRD pattern (copper Kα), based on a structure optimized by DFT (GGA-PBE).
Kinematic intensities with the Lorentz-polarization factor, no thermal factor.

Atomic structure:
Unit cell a=9.1851 b=12.9879 c=9.1840 alpha=90.00 beta=90.00 gamma=90.00
Space group Fmm2 (No. 42)
Asymmetric unit:
La: 0.0000 0.2482 0.0000 (multiplicity 8)
La: 0.2503 0.0000 0.2489 (multiplicity 8)
Bi: 0.0000 0.0000 0.9992 (multiplicity 4)
Sb: 0.2500 0.2500 0.2498 (multiplicity 8)
Br: 0.0000 0.0000 0.4986 (multiplicity 4)

Largest 6 diffraction maxima, sorted by position, 2θ from 5° to 70°:
2θ (°), I_rel, index
15.25, 7, 1 1 1
27.47, 100, 2 0 2
39.24, 77, 4 0 0
48.56, 28, 4 4 0
56.70, 13, 4 0 4
64.13, 36, 6 0 2